The following is a calculated PXRD pattern of LiCa2Ta3O10. It was derived from a GGA-PBE-relaxed structure, using Cu Kα.
Kinematic intensities with the Lorentz-polarization factor, no thermal factor.

Structural model:
```
data_LiCa2Ta3O10
_cell_length_a 14.2540
_cell_length_b 14.2540
_cell_length_c 14.2540
_cell_angle_alpha 164.13
_cell_angle_beta 164.13
_cell_angle_gamma 22.51
_space_group_name_H-M_alt 'P 1'
_space_group_IT_number 1
loop_
_space_group_symop_operation_xyz
'x,y,z'
loop_
_atom_site_label
_atom_site_fract_x
_atom_site_fract_y
_atom_site_fract_z
_atom_site_occupancy
Li1 0.0000 0.0000 0.0000 1
Ca1 0.1678 0.6678 0.5000 1
Ca2 0.3322 0.8322 0.5000 1
Ta1 0.5967 0.0967 0.5000 1
Ta2 0.7500 0.2500 0.5000 1
Ta3 0.9033 0.4033 0.5000 1
O1 0.1111 0.1111 0.0000 1
O2 0.2497 0.2497 0.0000 1
O3 0.3875 0.3875 0.0000 1
O4 0.5323 0.0323 0.5000 1
O5 0.6125 0.6125 0.0000 1
O6 0.6795 0.1795 0.5000 1
O7 0.7503 0.7503 0.0000 1
O8 0.8205 0.3205 0.5000 1
O9 0.8889 0.8889 0.0000 1
O10 0.9677 0.4677 0.5000 1
```

Top 8 peaks for 2θ = 5–70°, sorted by position:
two_theta  Rel. int.
6.3  42
19.0  57
22.8  100
27.7  46
31.9  94
32.2  60
46.1  39
57.2  39